This entry pairs a crystal structure of PmPr2NdSm5 with its calculated XRD peak list. Radiation: Cu Kα (weighted mean of Kα1 and Kα2). Structure: a crystal structure in Alexandria, relaxed with GGA-PBE.

The 6 most intense peaks (2θ = 10–90°), by angle:
index, 2theta, I/Imax
2 1 3, 28.11, 53
2 2 0, 28.67, 50
2 0 4, 30.08, 100
3 2 1, 37.24, 16
4 2 4, 51.68, 22
2 2 8, 54.29, 18

Structural model:
a b c (Å): 8.8058 8.8058 16.0980
angles (deg): 90.00 90.00 90.00
Space group I4/mcm (No. 140)
Inequivalent atoms, fractional coordinates:
Pm 0.0000 0.0000 0.2500
Pr 0.1197 0.3803 0.0000
Nd 0.0000 0.5000 0.2500
Sm 0.0000 0.0000 0.0000
Sm 0.2080 0.2920 0.3607